Entry 1:
Simulated powder diffraction line list
Compound: Na3PrV2O8
Radiation: Cu Kα
Structure: a cell relaxed with PBE+U
Intensities are scaled so that the largest is 100.

Main lines, by angle (2θ = 5–70°):
2θ (°), I_rel
11.94, 18
16.90, 13
20.74, 66
29.50, 100
42.21, 29
47.47, 18
52.33, 30
58.38, 12
61.22, 15
69.40, 11

Cell and atoms:
Lattice parameters (Å, degrees): 6.058 6.058 7.411 90.00 90.00 120.00
Positions (direct):
Na 0.000 0.000 0.000
Na 0.333 0.667 0.701
Na 0.667 0.333 0.299
Pr 0.000 0.000 0.500
V 0.333 0.667 0.220
V 0.667 0.333 0.780
O 0.176 0.352 0.304
O 0.176 0.824 0.304
O 0.333 0.667 0.994
O 0.352 0.176 0.696
O 0.648 0.824 0.304
O 0.667 0.333 0.006
O 0.824 0.176 0.696
O 0.824 0.648 0.696


Entry 2:
Simulated powder diffraction line list
Compound: NaSrFeBiO6
Radiation: Cu Kα
Structure: a cell relaxed with PBE+U
Intensities are scaled so that the largest is 100.

Main lines, by angle (2θ = 5–70°):
2θ (°), I_rel
18.75, 43
21.68, 36
30.85, 100
36.35, 29
44.19, 35
48.40, 14
49.74, 15
54.87, 41
64.28, 21
67.61, 10

Cell and atoms:
Lattice parameters (Å, degrees): 5.796 5.796 5.796 60.00 60.00 60.00
Positions (direct):
Na 0.000 0.000 0.000
Sr 0.500 0.500 0.500
Fe 0.750 0.750 0.750
Bi 0.250 0.250 0.250
O 0.507 0.507 0.993
O 0.507 0.993 0.507
O 0.507 0.993 0.993
O 0.993 0.507 0.507
O 0.993 0.507 0.993
O 0.993 0.993 0.507


Entry 3:
Simulated powder diffraction line list
Compound: Li9Mn2Co5O16
Radiation: Cu Kα
Structure: a cell relaxed with PBE+U
Intensities are scaled so that the largest is 100.

Main lines, by angle (2θ = 5–70°):
2θ (°), I_rel
18.33, 100
35.56, 15
36.19, 13
36.35, 12
42.85, 29
43.88, 26
44.05, 26
47.54, 9
62.78, 15
63.50, 14

Cell and atoms:
Lattice parameters (Å, degrees): 5.167 7.662 7.744 94.13 108.74 96.66
Positions (direct):
Li 0.000 0.000 0.000
Li 0.060 0.685 0.555
Li 0.125 0.377 0.125
Li 0.250 0.745 0.258
Li 0.363 0.126 0.370
Li 0.495 0.500 0.495
Li 0.610 0.866 0.611
Li 0.747 0.252 0.747
Li 0.869 0.621 0.862
Mn 0.188 0.055 0.679
Mn 0.426 0.811 0.932
Co 0.301 0.440 0.803
Co 0.556 0.192 0.064
Co 0.693 0.566 0.193
Co 0.816 0.933 0.312
Co 0.938 0.321 0.440
O 0.064 0.852 0.782
O 0.070 0.524 0.332
O 0.166 0.217 0.889
O 0.219 0.915 0.478
O 0.283 0.606 0.018
O 0.327 0.270 0.597
O 0.405 0.970 0.134
O 0.464 0.652 0.737
O 0.542 0.343 0.282
O 0.559 0.022 0.838
O 0.660 0.725 0.385
O 0.696 0.399 0.977
O 0.802 0.791 0.088
O 0.818 0.077 0.531
O 0.910 0.455 0.647
O 0.939 0.148 0.228


Entry 4:
Simulated powder diffraction line list
Compound: Co3P2O16
Radiation: Cu Kα
Structure: a cell relaxed with PBE+U
Intensities are scaled so that the largest is 100.

Main lines, by angle (2θ = 5–70°):
2θ (°), I_rel
11.96, 41
14.45, 100
19.13, 71
20.72, 49
23.79, 43
24.50, 50
30.08, 53
31.76, 38
35.06, 29
36.02, 27

Cell and atoms:
Lattice parameters (Å, degrees): 7.781 7.781 4.428 98.86 98.86 103.96
Positions (direct):
Co 0.000 0.000 0.000
Co 0.374 0.626 0.000
Co 0.626 0.374 0.000
P 0.317 0.317 0.366
P 0.683 0.683 0.634
O 0.039 0.812 0.152
O 0.157 0.157 0.375
O 0.188 0.961 0.848
O 0.190 0.621 0.750
O 0.239 0.454 0.206
O 0.379 0.810 0.250
O 0.407 0.407 0.720
O 0.454 0.239 0.206
O 0.546 0.761 0.794
O 0.593 0.593 0.280
O 0.621 0.190 0.750
O 0.761 0.546 0.794
O 0.810 0.379 0.250
O 0.812 0.039 0.152
O 0.843 0.843 0.625
O 0.961 0.188 0.848


Entry 5:
Simulated powder diffraction line list
Compound: SmNiO3
Radiation: Cu Kα
Structure: a cell relaxed with PBE+U
Intensities are scaled so that the largest is 100.

Main lines, by angle (2θ = 5–70°):
2θ (°), I_rel
23.10, 13
25.92, 16
32.27, 20
33.05, 100
33.52, 25
34.40, 11
47.22, 21
47.67, 15
53.81, 14
59.63, 21

Cell and atoms:
Lattice parameters (Å, degrees): 5.548 7.631 5.347 90.00 90.00 90.00
Positions (direct):
Sm 0.061 0.250 0.015
Sm 0.439 0.750 0.515
Sm 0.561 0.250 0.485
Sm 0.939 0.750 0.985
Ni 0.000 0.000 0.500
Ni 0.000 0.500 0.500
Ni 0.500 0.000 0.000
Ni 0.500 0.500 0.000
O 0.021 0.750 0.412
O 0.204 0.546 0.795
O 0.204 0.954 0.795
O 0.296 0.046 0.295
O 0.296 0.454 0.295
O 0.479 0.250 0.912
O 0.521 0.750 0.088
O 0.704 0.546 0.705
O 0.704 0.954 0.705
O 0.796 0.046 0.205
O 0.796 0.454 0.205
O 0.979 0.250 0.588


Entry 6:
Simulated powder diffraction line list
Compound: La2Fe2S2O3
Radiation: Cu Kα
Structure: a cell relaxed with PBE+U
Intensities are scaled so that the largest is 100.

Main lines, by angle (2θ = 5–70°):
2θ (°), I_rel
26.48, 96
29.47, 25
31.25, 25
32.80, 52
33.11, 100
37.12, 37
44.78, 55
51.33, 44
52.78, 30
56.81, 40

Cell and atoms:
Lattice parameters (Å, degrees): 9.532 9.532 9.532 155.48 155.48 34.95
Positions (direct):
La 0.182 0.182 0.000
La 0.818 0.818 0.000
Fe 0.000 0.500 0.500
Fe 0.500 0.000 0.500
S 0.405 0.405 0.000
S 0.595 0.595 0.000
O 0.000 0.000 0.000
O 0.250 0.750 0.500
O 0.750 0.250 0.500


Entry 7:
Simulated powder diffraction line list
Compound: CrFe3Sn2P6O24
Radiation: Cu Kα
Structure: a cell relaxed with PBE+U
Intensities are scaled so that the largest is 100.

Main lines, by angle (2θ = 5–70°):
2θ (°), I_rel
14.33, 19
20.49, 100
23.91, 60
25.10, 27
32.16, 92
35.89, 38
46.21, 29
48.95, 33
56.15, 25
62.17, 25

Cell and atoms:
Lattice parameters (Å, degrees): 8.818 8.818 8.818 58.87 58.87 58.87
Positions (direct):
Cr 0.000 0.000 0.000
Fe 0.207 0.207 0.207
Fe 0.504 0.504 0.504
Fe 0.707 0.707 0.707
Sn 0.356 0.356 0.356
Sn 0.852 0.852 0.852
P 0.106 0.392 0.816
P 0.314 0.898 0.606
P 0.392 0.816 0.106
P 0.606 0.314 0.898
P 0.816 0.106 0.392
P 0.898 0.606 0.314
O 0.054 0.235 0.849
O 0.091 0.439 0.294
O 0.122 0.919 0.773
O 0.162 0.361 0.968
O 0.235 0.849 0.054
O 0.272 0.413 0.620
O 0.294 0.091 0.439
O 0.346 0.741 0.554
O 0.361 0.968 0.162
O 0.413 0.620 0.272
O 0.439 0.294 0.091
O 0.472 0.863 0.659
O 0.554 0.346 0.741
O 0.585 0.796 0.938
O 0.620 0.272 0.413
O 0.659 0.472 0.863
O 0.741 0.554 0.346
O 0.773 0.122 0.919
O 0.796 0.938 0.585
O 0.849 0.054 0.235
O 0.863 0.659 0.472
O 0.919 0.773 0.122
O 0.938 0.585 0.796
O 0.968 0.162 0.361


Entry 8:
Simulated powder diffraction line list
Compound: Sm4Fe3CoAs4O4
Radiation: Cu Kα
Structure: a cell relaxed with PBE+U
Intensities are scaled so that the largest is 100.

Main lines, by angle (2θ = 5–70°):
2θ (°), I_rel
29.73, 100
31.62, 21
33.16, 21
37.20, 16
37.43, 19
45.33, 32
51.55, 29
55.15, 35
60.03, 8
66.04, 10

Cell and atoms:
Lattice parameters (Å, degrees): 5.659 5.659 9.099 90.00 90.00 90.00
Positions (direct):
Sm 0.250 0.250 0.373
Sm 0.250 0.750 0.627
Sm 0.750 0.250 0.627
Sm 0.750 0.750 0.373
Fe 0.000 0.000 0.000
Fe 0.000 0.500 0.000
Fe 0.500 0.000 0.000
Co 0.500 0.500 0.000
As 0.255 0.255 0.824
As 0.255 0.745 0.176
As 0.745 0.255 0.176
As 0.745 0.745 0.824
O 0.000 0.000 0.500
O 0.000 0.500 0.500
O 0.500 0.000 0.500
O 0.500 0.500 0.500